NaCa5ScZn5Si12O36: computed powder X-ray diffraction pattern (Cu Kα, 1.54184 Å), based on a DFT-relaxed cell (PBE, Alexandria).
No peak broadening, texture or thermal motion is included.

abc: 6.7454 6.7454 16.0247
angles: 102.06 102.06 84.73
Element x y z (fractional)
Na  0.0000  0.0000  0.0000
Ca  0.0023  0.9972  0.6650
Ca  0.0028  0.9977  0.3350
Ca  0.3983  0.5905  0.1709
Ca  0.4092  0.5908  0.5000
Ca  0.4095  0.6017  0.8291
Sc  0.6125  0.3875  0.0000
Zn  0.6100  0.3881  0.3326
Zn  0.6119  0.3900  0.6674
Zn  0.8004  0.1996  0.5000
Zn  0.8109  0.1891  0.1665
Zn  0.8109  0.1891  0.8335
Si  0.0826  0.4901  0.6610
Si  0.0831  0.4952  0.9938
Si  0.0840  0.4871  0.3281
Si  0.3248  0.1007  0.1717
Si  0.3260  0.0977  0.8377
Si  0.3275  0.1011  0.5060
Si  0.5048  0.9169  0.0062
Si  0.5099  0.9174  0.3390
Si  0.5129  0.9160  0.6719
Si  0.8989  0.6725  0.4940
Si  0.8993  0.6752  0.8283
Si  0.9023  0.6740  0.1623
O  0.0377  0.6616  0.7502
O  0.0386  0.6585  0.4171
O  0.0434  0.6538  0.0863
O  0.0693  0.6282  0.5836
O  0.0704  0.6275  0.2515
O  0.0733  0.6267  0.9157
O  0.0963  0.1773  0.8078
O  0.0971  0.1815  0.4763
O  0.0985  0.1924  0.1448
O  0.3135  0.4105  0.6909
O  0.3147  0.4078  0.3578
O  0.3164  0.4140  0.0225
O  0.3384  0.9623  0.2498
O  0.3415  0.9614  0.5829
O  0.3462  0.9566  0.9137
O  0.3718  0.9307  0.4164
O  0.3733  0.9267  0.0843
O  0.3725  0.9296  0.7485
O  0.4937  0.2708  0.8685
O  0.5000  0.2680  0.5355
O  0.5022  0.2649  0.2009
O  0.5860  0.6836  0.9775
O  0.5895  0.6865  0.3091
O  0.5922  0.6853  0.6422
O  0.6664  0.0951  0.0352
O  0.6781  0.0887  0.3683
O  0.6789  0.0894  0.7015
O  0.7292  0.5063  0.1315
O  0.7320  0.5000  0.4645
O  0.7351  0.4978  0.7991
O  0.8076  0.9015  0.8552
O  0.8185  0.9029  0.5237
O  0.8227  0.9037  0.1922
O  0.9049  0.3336  0.9648
O  0.9106  0.3211  0.2985
O  0.9113  0.3219  0.6317

Peak list (8 most intense, 10 to 90 degrees two-theta, by intensity)
2θ (°)	Rel. int.
29.24	100
35.14	44
35.03	41
29.70	39
34.31	33
13.44	32
41.46	24
55.58	18

---

NaCa3ScZn3Si8O24: computed powder X-ray diffraction pattern (Cu Kα, 1.54184 Å), based on a DFT-relaxed cell (PBE, Alexandria).
No peak broadening, texture or thermal motion is included.

abc: 5.3464 9.0974 9.8918
angles: 90.00 104.78 90.00
Element x y z (fractional)
Na  0.0000  0.0000  0.0000
Ca  0.0000  0.8995  0.5000
Ca  0.5000  0.3942  0.0000
Ca  0.5000  0.4892  0.5000
Sc  0.5000  0.7989  0.0000
Zn  0.0000  0.2892  0.5000
Zn  0.0000  0.5960  0.0000
Zn  0.5000  0.0993  0.5000
Si  0.1955  0.2869  0.2128
Si  0.1992  0.6033  0.7119
Si  0.3007  0.7867  0.2873
Si  0.3023  0.1061  0.7862
Si  0.6977  0.1061  0.2138
Si  0.6993  0.7867  0.7127
Si  0.8008  0.6033  0.2881
Si  0.8045  0.2869  0.7872
O  0.0933  0.6800  0.3494
O  0.0985  0.2127  0.8479
O  0.2091  0.4433  0.1382
O  0.2126  0.4471  0.6391
O  0.2215  0.1051  0.6161
O  0.2249  0.7790  0.1178
O  0.2773  0.2846  0.3831
O  0.2839  0.6098  0.8824
O  0.2869  0.9421  0.3617
O  0.3007  0.9480  0.8601
O  0.4053  0.7099  0.6488
O  0.4084  0.1851  0.1521
O  0.5916  0.1851  0.8479
O  0.5947  0.7099  0.3512
O  0.6993  0.9480  0.1399
O  0.7131  0.9421  0.6383
O  0.7161  0.6098  0.1176
O  0.7227  0.2846  0.6169
O  0.7751  0.7790  0.8822
O  0.7785  0.1051  0.3839
O  0.7874  0.4471  0.3609
O  0.7909  0.4433  0.8618
O  0.9015  0.2127  0.1521
O  0.9067  0.6800  0.6506

Peak list (8 most intense, 10 to 90 degrees two-theta, by intensity)
2θ (°)	Rel. int.
29.21	100
35.12	43
35.00	41
29.69	40
13.43	33
34.28	32
41.43	24
55.53	18

---

Na2Ca2Si3O9: computed powder X-ray diffraction pattern (Cu Kα, 1.54184 Å), based on a DFT-relaxed cell (PBE, Alexandria).
No peak broadening, texture or thermal motion is included.

abc: 7.6074 7.6074 7.6074
angles: 89.22 89.22 89.22
Element x y z (fractional)
Na  0.0000  0.0000  0.0000
Na  0.2960  0.2960  0.6890
Na  0.2960  0.6890  0.2960
Na  0.6890  0.2960  0.2960
Ca  0.2618  0.7434  0.7434
Ca  0.7434  0.2618  0.7434
Ca  0.7434  0.7434  0.2618
Ca  0.7437  0.7437  0.7437
Si  0.0030  0.4613  0.4613
Si  0.0272  0.0272  0.4870
Si  0.0272  0.4870  0.0272
Si  0.4613  0.0030  0.4613
Si  0.4613  0.4613  0.0030
Si  0.4870  0.0272  0.0272
O  0.1784  0.5415  0.5415
O  0.2452  0.4975  0.9958
O  0.2452  0.9958  0.4975
O  0.3094  0.9496  0.9496
O  0.4975  0.2452  0.9958
O  0.4975  0.9958  0.2452
O  0.5315  0.5315  0.8141
O  0.5315  0.8141  0.5315
O  0.5415  0.1784  0.5415
O  0.5415  0.5415  0.1784
O  0.6722  0.9528  0.9528
O  0.8141  0.5315  0.5315
O  0.9496  0.3094  0.9496
O  0.9496  0.9496  0.3094
O  0.9528  0.6722  0.9528
O  0.9528  0.9528  0.6722
O  0.9958  0.2452  0.4975
O  0.9958  0.4975  0.2452

Peak list (8 most intense, 10 to 90 degrees two-theta, by intensity)
2θ (°)	Rel. int.
33.55	100
33.09	89
26.34	82
47.84	68
26.06	39
16.59	25
28.95	23
19.95	22

---

NaCa2SmO4: computed powder X-ray diffraction pattern (Cu Kα, 1.54184 Å), based on a DFT-relaxed cell (PBE, Alexandria).
No peak broadening, texture or thermal motion is included.

abc: 6.0461 6.0461 6.0461
angles: 133.21 133.21 68.33
Element x y z (fractional)
Na  0.0000  0.0000  0.0000
Ca  0.2500  0.7500  0.5000
Ca  0.7500  0.2500  0.5000
Sm  0.5000  0.5000  0.0000
O  0.0000  0.5000  0.5000
O  0.2669  0.2669  0.0000
O  0.5000  0.0000  0.5000
O  0.7331  0.7331  0.0000

Peak list (8 most intense, 10 to 90 degrees two-theta, by intensity)
2θ (°)	Rel. int.
20.52	100
31.85	74
37.46	68
52.86	46
35.90	38
43.08	29
32.69	25
54.01	22

---

NaCaSnO2: computed powder X-ray diffraction pattern (Cu Kα, 1.54184 Å), based on a DFT-relaxed cell (PBE, Alexandria).
No peak broadening, texture or thermal motion is included.

abc: 4.4883 4.4883 5.9680
angles: 90.00 90.00 90.00
Element x y z (fractional)
Na  0.0000  0.0000  0.0000
Ca  0.5000  0.5000  0.5000
Sn  0.5000  0.5000  0.0000
O  0.0000  0.5000  0.5000
O  0.5000  0.0000  0.5000

Peak list (8 most intense, 10 to 90 degrees two-theta, by intensity)
2θ (°)	Rel. int.
19.78	100
31.94	59
28.12	51
29.94	46
36.15	44
40.18	40
50.91	39
41.54	37